The following is a calculated XRD peak list of YScI3. It was derived from DFT lattice parameters and positions (PBE), using Cu Kα X-rays.

Most intense lines, 2θ = 10–90°, in order of rising 2θ:
d/Å, 2θ/deg, I_rel
4.716, 18.8, 42
3.762, 23.6, 38
3.391, 26.3, 75
3.160, 28.2, 41
2.853, 31.4, 100
2.362, 38.1, 37
2.275, 39.6, 65
2.206, 40.9, 37

Atomic structure:
```
data_YScI3
_symmetry_space_group_name_H-M 'C 1 2/m 1'
_symmetry_Int_Tables_number 12
_cell_length_a 19.6984
_cell_length_b 3.9613
_cell_length_c 12.0383
_cell_angle_alpha 90.00
_cell_angle_beta 124.86
_cell_angle_gamma 90.00
loop_
_symmetry_equiv_pos_as_xyz
'x,y,z'
'-x,-y,-z'
'-x,y,-z'
'x,-y,z'
'x+1/2,y+1/2,z'
'-x+1/2,-y+1/2,-z'
'-x+1/2,y+1/2,-z'
'x+1/2,-y+1/2,z'
loop_
_atom_site_label
_atom_site_type_symbol
_atom_site_fract_x
_atom_site_fract_y
_atom_site_fract_z
_atom_site_occupancy
Y1 Y 0.1267 0.0000 0.2705 1
Sc1 Sc 0.0624 0.5000 0.9642 1
I1 I 0.0363 0.0000 0.7533 1
I2 I 0.1659 0.5000 0.5035 1
I3 I 0.2050 0.0000 0.1151 1
```